# 1
Structure and theoretical XRD peak list of VCu3P4O16 (DFT lattice parameters and positions (GGA+U); Cu Kα (weighted mean of Kα1 and Kα2)).
Lines closer than 0.1° are merged.

```
data_VCu3P4O16
_chemical_formula_sum 'V1 Cu3 P4 O16'
_cell_length_a 4.854
_cell_length_b 5.912
_cell_length_c 9.790
_cell_angle_alpha 90.00
_cell_angle_beta 90.61
_cell_angle_gamma 90.00
_symmetry_space_group_name_H-M 'P 1'
_symmetry_Int_Tables_number 1
_symmetry_space_group_name_Hall 'P 1'
loop_
_atom_site_label
_atom_site_fract_x
_atom_site_fract_y
_atom_site_fract_z
V1 0.000 0.000 0.000
Cu1 0.066 0.500 0.554
Cu2 0.449 0.500 0.062
Cu3 0.595 0.000 0.500
P1 0.110 0.000 0.675
P2 0.433 0.000 0.182
P3 0.609 0.500 0.374
P4 0.960 0.500 0.872
O1 0.174 0.000 0.839
O2 0.257 0.208 0.615
O3 0.257 0.792 0.615
O4 0.270 0.195 0.103
O5 0.270 0.805 0.103
O6 0.273 0.500 0.888
O7 0.297 0.500 0.391
O8 0.381 0.000 0.333
O9 0.674 0.500 0.220
O10 0.739 0.000 0.144
O11 0.766 0.299 0.448
O12 0.766 0.701 0.448
O13 0.796 0.000 0.669
O14 0.833 0.286 0.951
O15 0.833 0.714 0.951
O16 0.855 0.500 0.726
```

Peak list (12 most intense, 15° ≤ 2θ ≤ 90°, by angle)
d/Å, intensity
4.895, 96
4.367, 87
4.330, 38
3.513, 60
3.493, 60
2.989, 21
2.956, 100
2.472, 49
2.451, 96
1.876, 22
1.573, 24
1.483, 23

# 2
Structure and theoretical XRD peak list of V3CuP6O24 (DFT lattice parameters and positions (GGA+U); Cu Kα (weighted mean of Kα1 and Kα2)).
Lines closer than 0.1° are merged.

```
data_V3CuP6O24
_chemical_formula_sum 'V3 Cu1 P6 O24'
_cell_length_a 8.719
_cell_length_b 8.719
_cell_length_c 8.719
_cell_angle_alpha 58.44
_cell_angle_beta 58.44
_cell_angle_gamma 58.44
_symmetry_space_group_name_H-M 'P 1'
_symmetry_Int_Tables_number 1
_symmetry_space_group_name_Hall 'P 1'
loop_
_atom_site_label
_atom_site_fract_x
_atom_site_fract_y
_atom_site_fract_z
V1 0.000 0.000 0.000
V2 0.219 0.219 0.219
V3 0.721 0.721 0.721
Cu1 0.502 0.502 0.502
P1 0.113 0.825 0.391
P2 0.328 0.609 0.889
P3 0.391 0.113 0.825
P4 0.609 0.889 0.328
P5 0.825 0.391 0.113
P6 0.889 0.328 0.609
O1 0.002 0.364 0.136
O2 0.070 0.863 0.220
O3 0.076 0.298 0.432
O4 0.136 0.002 0.364
O5 0.143 0.782 0.932
O6 0.220 0.070 0.863
O7 0.282 0.641 0.411
O8 0.298 0.432 0.076
O9 0.335 0.593 0.721
O10 0.364 0.136 0.002
O11 0.411 0.282 0.641
O12 0.432 0.076 0.298
O13 0.502 0.635 0.863
O14 0.573 0.929 0.802
O15 0.593 0.721 0.335
O16 0.635 0.863 0.502
O17 0.641 0.411 0.282
O18 0.721 0.335 0.593
O19 0.782 0.932 0.143
O20 0.802 0.573 0.929
O21 0.863 0.220 0.070
O22 0.863 0.502 0.635
O23 0.929 0.802 0.573
O24 0.932 0.143 0.782
```

Peak list (12 most intense, 15° ≤ 2θ ≤ 90°, by angle)
d/Å, intensity
4.357, 61
4.256, 29
3.664, 100
3.044, 51
2.763, 16
2.749, 28
2.457, 13
1.939, 13
1.832, 10
1.706, 18
1.609, 12
1.485, 11

# 3
Structure and theoretical XRD peak list of V2CuP3O12 (DFT lattice parameters and positions (GGA+U); Cu Kα (weighted mean of Kα1 and Kα2)).
Lines closer than 0.1° are merged.

```
data_V2CuP3O12
_chemical_formula_sum 'V4 Cu2 P6 O24'
_cell_length_a 8.626
_cell_length_b 8.626
_cell_length_c 8.626
_cell_angle_alpha 59.86
_cell_angle_beta 59.86
_cell_angle_gamma 59.86
_symmetry_space_group_name_H-M 'P 1'
_symmetry_Int_Tables_number 1
_symmetry_space_group_name_Hall 'P 1'
loop_
_atom_site_label
_atom_site_fract_x
_atom_site_fract_y
_atom_site_fract_z
V1 0.142 0.142 0.142
V2 0.358 0.358 0.358
V3 0.642 0.642 0.642
V4 0.858 0.858 0.858
Cu1 0.000 0.000 0.000
Cu2 0.500 0.500 0.500
P1 0.040 0.750 0.460
P2 0.250 0.540 0.960
P3 0.460 0.040 0.750
P4 0.540 0.960 0.250
P5 0.750 0.460 0.040
P6 0.960 0.250 0.540
O1 0.004 0.802 0.624
O2 0.058 0.917 0.269
O3 0.083 0.731 0.942
O4 0.124 0.302 0.504
O5 0.198 0.376 0.996
O6 0.231 0.583 0.442
O7 0.269 0.058 0.917
O8 0.302 0.504 0.124
O9 0.376 0.996 0.198
O10 0.417 0.558 0.769
O11 0.442 0.231 0.583
O12 0.496 0.876 0.698
O13 0.504 0.124 0.302
O14 0.558 0.769 0.417
O15 0.583 0.442 0.231
O16 0.624 0.004 0.802
O17 0.698 0.496 0.876
O18 0.731 0.942 0.083
O19 0.769 0.417 0.558
O20 0.802 0.624 0.004
O21 0.876 0.698 0.496
O22 0.917 0.269 0.058
O23 0.942 0.083 0.731
O24 0.996 0.198 0.376
```

Peak list (12 most intense, 15° ≤ 2θ ≤ 90°, by angle)
d/Å, intensity
4.304, 88
3.673, 100
3.515, 21
2.793, 16
2.727, 84
2.485, 34
1.928, 33
1.837, 27
1.629, 16
1.627, 24
1.477, 18
1.243, 12

# 4
Structure and theoretical XRD peak list of V3CuP4O16 (DFT lattice parameters and positions (GGA+U); Cu Kα (weighted mean of Kα1 and Kα2)).
Lines closer than 0.1° are merged.

```
data_V3CuP4O16
_chemical_formula_sum 'V3 Cu1 P4 O16'
_cell_length_a 4.915
_cell_length_b 5.913
_cell_length_c 9.985
_cell_angle_alpha 90.00
_cell_angle_beta 91.54
_cell_angle_gamma 90.00
_symmetry_space_group_name_H-M 'P 1'
_symmetry_Int_Tables_number 1
_symmetry_space_group_name_Hall 'P 1'
loop_
_atom_site_label
_atom_site_fract_x
_atom_site_fract_y
_atom_site_fract_z
V1 0.000 0.000 0.000
V2 0.063 0.500 0.551
V3 0.565 0.000 0.513
Cu1 0.453 0.500 0.070
P1 0.138 0.000 0.686
P2 0.446 0.000 0.180
P3 0.621 0.500 0.377
P4 0.981 0.500 0.878
O1 0.214 0.000 0.836
O2 0.280 0.202 0.612
O3 0.280 0.798 0.612
O4 0.282 0.196 0.107
O5 0.282 0.804 0.107
O6 0.289 0.500 0.897
O7 0.318 0.500 0.405
O8 0.402 0.000 0.330
O9 0.679 0.500 0.229
O10 0.749 0.000 0.150
O11 0.774 0.298 0.453
O12 0.774 0.702 0.453
O13 0.831 0.000 0.663
O14 0.851 0.287 0.948
O15 0.851 0.713 0.948
O16 0.900 0.500 0.729
```

Peak list (12 most intense, 15° ≤ 2θ ≤ 90°, by angle)
d/Å, intensity
4.991, 92
4.456, 98
4.362, 51
3.814, 33
3.557, 66
3.510, 51
2.956, 100
2.523, 55
2.472, 64
2.463, 31
1.890, 25
1.601, 25